(1)
This entry pairs a crystal structure of TlBrO3 with its calculated PXRD pattern. Radiation: Cu Kα, 1.54184 Å. Structure: the PBE geometry in the Materials Project.
Peak positions follow from Bragg's law for the DFT cell and can differ from measured ones.

Atomic structure:
a = 3.658 Å, b = 7.589 Å, c = 7.079 Å
α = 90.00°, β = 95.38°, γ = 90.00°
Space group Cm (No. 8)
Inequivalent atoms, fractional coordinates:
Tl 0.000 0.000 0.000 x2
Br 0.355 0.000 0.551 x2
O 0.116 0.229 0.179 x4
O 0.477 0.000 0.813 x2

Top 10 peaks for 15 to 90 degrees two-theta, in order of rising 2θ:
(0 2 0), 2θ = 23.44°, d = 3.795 Å, intensity 100.0
(0 0 2), 2θ = 25.27°, d = 3.524 Å, intensity 67.8
(0 2 1), 2θ = 26.68°, d = 3.341 Å, intensity 37.1
(1 1 0), 2θ = 27.16°, d = 3.284 Å, intensity 45.6
(1 1 -1), 2θ = 29.01°, d = 3.078 Å, intensity 97.4
(1 1 1), 2θ = 31.00°, d = 2.885 Å, intensity 97.7
(0 2 2), 2θ = 34.74°, d = 2.582 Å, intensity 78.4
(1 1 -2), 2θ = 35.77°, d = 2.511 Å, intensity 45.8
(1 3 1), 2θ = 46.21°, d = 1.965 Å, intensity 34.5
(1 1 3), 2θ = 49.58°, d = 1.839 Å, intensity 32.7


(2)
This entry pairs a crystal structure of CuTe with its calculated PXRD pattern. Radiation: Cu Kα, 1.54184 Å. Structure: the PBE geometry in the Materials Project.
Peak positions follow from Bragg's law for the DFT cell and can differ from measured ones.

Atomic structure:
a = 3.897 Å, b = 5.282 Å, c = 4.030 Å
α = 90.00°, β = 90.00°, γ = 90.00°
Space group Pmmn (No. 59, origin choice 2)
Inequivalent atoms, fractional coordinates:
Cu 0.250 0.250 0.223 x2
Te 0.250 0.750 0.271 x2

Top 10 peaks for 15 to 90 degrees two-theta, in order of rising 2θ:
(0 1 1), 2θ = 27.85°, d = 3.204 Å, intensity 11.4
(1 0 1), 2θ = 31.95°, d = 2.801 Å, intensity 100.0
(0 2 0), 2θ = 33.94°, d = 2.641 Å, intensity 43.4
(0 0 2), 2θ = 44.99°, d = 2.015 Å, intensity 17.8
(2 0 0), 2θ = 46.62°, d = 1.948 Å, intensity 17.5
(1 2 1), 2θ = 47.30°, d = 1.922 Å, intensity 65.6
(0 2 2), 2θ = 57.53°, d = 1.602 Å, intensity 16.8
(2 2 0), 2θ = 58.90°, d = 1.568 Å, intensity 17.0
(3 0 1), 2θ = 77.10°, d = 1.237 Å, intensity 21.0
(1 4 1), 2θ = 80.39°, d = 1.195 Å, intensity 13.1


(3)
This entry pairs a crystal structure of Pu2Se3 with its calculated PXRD pattern. Radiation: Cu Kα, 1.54184 Å. Structure: the PBE geometry in the Materials Project.
Peak positions follow from Bragg's law for the DFT cell and can differ from measured ones.

Atomic structure:
a = 8.703 Å, b = 8.703 Å, c = 26.322 Å
α = 90.00°, β = 90.00°, γ = 90.00°
Space group I-42d (No. 122)
Inequivalent atoms, fractional coordinates:
Pu 0.000 0.000 0.166 x8
Pu 0.121 0.750 0.625 x8
Pu 0.132 0.745 0.960 x16
Se 0.076 0.673 0.183 x16
Se 0.076 0.678 0.853 x16
Se 0.078 0.672 0.516 x16

Top 10 peaks for 15 to 90 degrees two-theta, in order of rising 2θ:
(1 1 6), 2θ = 24.93°, d = 3.572 Å, intensity 31.8
(2 1 3), 2θ = 25.03°, d = 3.558 Å, intensity 50.5
(1 0 9), 2θ = 32.29°, d = 2.772 Å, intensity 44.3
(3 1 0), 2θ = 32.52°, d = 2.753 Å, intensity 100.0
(2 1 9), 2θ = 38.50°, d = 2.338 Å, intensity 39.1
(3 2 3), 2θ = 38.66°, d = 2.329 Å, intensity 58.2
(2 0 12), 2θ = 46.35°, d = 1.959 Å, intensity 15.6
(4 0 6), 2θ = 46.63°, d = 1.948 Å, intensity 32.5
(3 2 9), 2θ = 48.95°, d = 1.861 Å, intensity 31.2
(5 3 6), 2θ = 66.09°, d = 1.414 Å, intensity 19.4


(4)
This entry pairs a crystal structure of ZrTiSe4 with its calculated PXRD pattern. Radiation: Cu Kα, 1.54184 Å. Structure: the PBE geometry in the Materials Project.
Peak positions follow from Bragg's law for the DFT cell and can differ from measured ones.

Atomic structure:
a = 6.398 Å, b = 3.679 Å, c = 6.661 Å
α = 90.00°, β = 90.21°, γ = 90.00°
Space group P2/m (No. 10)
Inequivalent atoms, fractional coordinates:
Zr 0.000 0.000 0.000 x1
Ti 0.500 0.500 0.000 x1
Se 0.179 0.500 0.761 x2
Se 0.346 0.000 0.231 x2

Top 10 peaks for 15 to 90 degrees two-theta, in order of rising 2θ:
(2 0 1), 2θ = 31.06°, d = 2.879 Å, intensity 100.0
(1 1 -2), 2θ = 39.05°, d = 2.307 Å, intensity 31.9
(2 0 2), 2θ = 39.13°, d = 2.302 Å, intensity 25.4
(3 1 0), 2θ = 49.39°, d = 1.845 Å, intensity 21.5
(0 2 0), 2θ = 49.55°, d = 1.840 Å, intensity 11.1
(2 0 -3), 2θ = 49.92°, d = 1.827 Å, intensity 10.6
(1 1 3), 2θ = 50.10°, d = 1.821 Å, intensity 20.9
(2 2 1), 2θ = 59.64°, d = 1.550 Å, intensity 9.4
(2 2 -3), 2θ = 73.00°, d = 1.296 Å, intensity 9.4
(3 1 4), 2θ = 77.30°, d = 1.234 Å, intensity 10.4


(5)
This entry pairs a crystal structure of YMg2 with its calculated PXRD pattern. Radiation: Cu Kα, 1.54184 Å. Structure: the PBE geometry in the Materials Project.
Peak positions follow from Bragg's law for the DFT cell and can differ from measured ones.

Atomic structure:
a = 9.983 Å, b = 5.650 Å, c = 6.530 Å
α = 90.00°, β = 120.31°, γ = 90.00°
Space group C2/c (No. 15)
Inequivalent atoms, fractional coordinates:
Y 0.000 0.087 0.250 x4
Mg 0.166 0.416 0.748 x8

Top 10 peaks for 15 to 90 degrees two-theta, in order of rising 2θ:
(1 1 0), 2θ = 18.78°, d = 4.725 Å, intensity 91.2
(2 0 0), 2θ = 20.61°, d = 4.309 Å, intensity 51.2
(1 1 -1), 2θ = 20.92°, d = 4.246 Å, intensity 28.1
(2 0 -2), 2θ = 27.75°, d = 3.215 Å, intensity 36.7
(3 1 -1), 2θ = 31.19°, d = 2.867 Å, intensity 45.4
(0 0 2), 2θ = 31.73°, d = 2.820 Å, intensity 100.0
(3 1 0), 2θ = 35.04°, d = 2.561 Å, intensity 91.6
(3 1 -2), 2θ = 35.18°, d = 2.551 Å, intensity 90.5
(0 2 1), 2θ = 35.54°, d = 2.526 Å, intensity 93.1
(3 3 -1), 2θ = 56.11°, d = 1.639 Å, intensity 30.6


(6)
This entry pairs a crystal structure of TbAl3B4O12 with its calculated PXRD pattern. Radiation: Cu Kα, 1.54184 Å. Structure: the PBE geometry in the Materials Project.
Peak positions follow from Bragg's law for the DFT cell and can differ from measured ones.

Atomic structure:
a = 9.3629 Å, b = 9.3629 Å, c = 7.3299 Å
α = 90.00°, β = 90.00°, γ = 120.00°
Space group R32 (No. 155, hexagonal axes)
Inequivalent atoms, fractional coordinates:
Tb 0.0000 0.0000 0.0000 x3
Al 0.0000 0.5556 0.0000 x9
B 0.0000 0.0000 0.5000 x3
B 0.0000 0.4429 0.5000 x9
O 0.0000 0.5913 0.5000 x9
O 0.0000 0.8512 0.5000 x9
O 0.0330 0.2169 0.1885 x18

Top 10 peaks for 15 to 90 degrees two-theta, in order of rising 2θ:
(1 0 1), 2θ = 16.30°, d = 5.437 Å, intensity 92.6
(1 1 0), 2θ = 18.96°, d = 4.681 Å, intensity 57.7
(0 2 1), 2θ = 25.10°, d = 3.548 Å, intensity 68.2
(0 1 2), 2θ = 26.69°, d = 3.340 Å, intensity 31.0
(2 1 1), 2θ = 31.64°, d = 2.828 Å, intensity 46.2
(2 0 2), 2θ = 32.95°, d = 2.719 Å, intensity 100.0
(1 2 2), 2θ = 38.28°, d = 2.351 Å, intensity 45.4
(1 1 3), 2θ = 41.70°, d = 2.166 Å, intensity 26.3
(1 3 1), 2θ = 42.03°, d = 2.150 Å, intensity 39.0
(2 2 3), 2θ = 54.27°, d = 1.690 Å, intensity 29.8


(7)
This entry pairs a crystal structure of Ba3Mo2N4 with its calculated PXRD pattern. Radiation: Cu Kα, 1.54184 Å. Structure: the PBE geometry in the Materials Project.
Peak positions follow from Bragg's law for the DFT cell and can differ from measured ones.

Atomic structure:
a = 12.695 Å, b = 9.413 Å, c = 5.878 Å
α = 90.00°, β = 92.77°, γ = 90.00°
Space group C2/c (No. 15)
Inequivalent atoms, fractional coordinates:
Ba 0.000 0.099 0.250 x4
Ba 0.122 0.372 0.535 x8
Mo 0.206 0.125 0.913 x8
N 0.142 0.311 0.035 x8
N 0.181 0.042 0.604 x8

Top 10 peaks for 15 to 90 degrees two-theta, in order of rising 2θ:
(3 1 -1), 2θ = 27.10°, d = 3.290 Å, intensity 51.5
(2 2 1), 2θ = 28.45°, d = 3.137 Å, intensity 100.0
(1 1 -2), 2θ = 32.40°, d = 2.763 Å, intensity 32.6
(5 1 0), 2θ = 36.70°, d = 2.449 Å, intensity 28.9
(0 4 0), 2θ = 38.25°, d = 2.353 Å, intensity 23.8
(3 3 -1), 2θ = 38.48°, d = 2.340 Å, intensity 27.6
(1 3 -2), 2θ = 42.52°, d = 2.126 Å, intensity 15.3
(4 0 2), 2θ = 43.00°, d = 2.104 Å, intensity 13.2
(4 4 2), 2θ = 58.88°, d = 1.568 Å, intensity 13.4
(2 6 1), 2θ = 63.23°, d = 1.471 Å, intensity 16.6


(8)
This entry pairs a crystal structure of Ba2ZnP2F with its calculated PXRD pattern. Radiation: Cu Kα, 1.54184 Å. Structure: the PBE geometry in the Materials Project.
Peak positions follow from Bragg's law for the DFT cell and can differ from measured ones.

Atomic structure:
a = 3.810 Å, b = 3.810 Å, c = 15.416 Å
α = 90.00°, β = 90.00°, γ = 90.00°
Space group P4/mmm (No. 123)
Inequivalent atoms, fractional coordinates:
Ba 0.000 0.000 0.160 x2
Zn 0.000 0.000 0.500 x1
P 0.000 0.000 0.357 x2
F 0.000 0.000 0.000 x1

Top 10 peaks for 15 to 90 degrees two-theta, in order of rising 2θ:
(0 0 3), 2θ = 17.26°, d = 5.139 Å, intensity 36.0
(1 0 0), 2θ = 23.35°, d = 3.810 Å, intensity 100.0
(1 0 3), 2θ = 29.18°, d = 3.061 Å, intensity 42.1
(1 1 0), 2θ = 33.25°, d = 2.694 Å, intensity 39.6
(0 0 6), 2θ = 34.92°, d = 2.569 Å, intensity 14.9
(1 1 3), 2θ = 37.70°, d = 2.386 Å, intensity 21.5
(1 0 6), 2θ = 42.43°, d = 2.130 Å, intensity 34.0
(1 1 6), 2θ = 48.99°, d = 1.859 Å, intensity 22.1
(2 1 0), 2θ = 53.80°, d = 1.704 Å, intensity 19.1
(2 1 6), 2θ = 65.76°, d = 1.420 Å, intensity 17.9


(9)
This entry pairs a crystal structure of K6LiFe24S26Cl with its calculated PXRD pattern. Radiation: Cu Kα, 1.54184 Å. Structure: the PBE geometry in the Materials Project.
Peak positions follow from Bragg's law for the DFT cell and can differ from measured ones.

Atomic structure:
a = 9.890 Å, b = 9.890 Å, c = 9.890 Å
α = 90.00°, β = 90.00°, γ = 90.00°
Space group Pm-3m (No. 221)
Inequivalent atoms, fractional coordinates:
K 0.000 0.000 0.301 x6
Li 0.500 0.500 0.500 x1
Fe 0.134 0.366 0.366 x24
S 0.000 0.251 0.500 x12
S 0.228 0.228 0.228 x8
S 0.246 0.500 0.500 x6
Cl 0.000 0.000 0.000 x1

Top 10 peaks for 15 to 90 degrees two-theta, in order of rising 2θ:
(1 1 1), 2θ = 15.52°, d = 5.710 Å, intensity 51.4
(3 1 0), 2θ = 28.54°, d = 3.128 Å, intensity 27.2
(3 1 1), 2θ = 29.97°, d = 2.982 Å, intensity 45.4
(2 2 2), 2θ = 31.33°, d = 2.855 Å, intensity 59.6
(3 3 1), 2θ = 39.73°, d = 2.269 Å, intensity 52.3
(4 3 0), 2θ = 45.88°, d = 1.978 Å, intensity 11.6
(3 3 3), 2θ = 47.79°, d = 1.903 Å, intensity 13.7
(4 4 0), 2θ = 52.33°, d = 1.748 Å, intensity 100.0
(6 2 2), 2θ = 62.27°, d = 1.491 Å, intensity 13.6
(8 0 0), 2θ = 77.16°, d = 1.236 Å, intensity 12.5


(10)
This entry pairs a crystal structure of CeAlO3 with its calculated PXRD pattern. Radiation: Cu Kα, 1.54184 Å. Structure: the PBE geometry in the Materials Project.
Peak positions follow from Bragg's law for the DFT cell and can differ from measured ones.

Atomic structure:
a = 5.3722 Å, b = 5.3722 Å, c = 13.1290 Å
α = 90.00°, β = 90.00°, γ = 120.00°
Space group R-3c (No. 167, hexagonal axes)
Inequivalent atoms, fractional coordinates:
Ce 0.0000 0.0000 0.2500 x6
Al 0.0000 0.0000 0.0000 x6
O 0.0000 0.4560 0.2500 x18

Top 10 peaks for 15 to 90 degrees two-theta, in order of rising 2θ:
(0 1 2), 2θ = 23.44°, d = 3.796 Å, intensity 49.4
(1 0 4), 2θ = 33.38°, d = 2.684 Å, intensity 100.0
(0 0 6), 2θ = 41.19°, d = 2.191 Å, intensity 40.9
(0 2 4), 2θ = 47.93°, d = 1.898 Å, intensity 34.3
(1 2 2), 2θ = 54.02°, d = 1.698 Å, intensity 22.5
(3 0 0), 2θ = 59.64°, d = 1.550 Å, intensity 31.2
(0 1 8), 2θ = 59.75°, d = 1.548 Å, intensity 9.8
(2 2 0), 2θ = 70.06°, d = 1.343 Å, intensity 9.5
(2 0 8), 2θ = 70.18°, d = 1.341 Å, intensity 10.2
(1 2 8), 2θ = 79.92°, d = 1.200 Å, intensity 17.2


(11)
This entry pairs a crystal structure of ZrAs with its calculated PXRD pattern. Radiation: Cu Kα, 1.54184 Å. Structure: the PBE geometry in the Materials Project.
Peak positions follow from Bragg's law for the DFT cell and can differ from measured ones.

Atomic structure:
a = 5.481 Å, b = 5.481 Å, c = 5.481 Å
α = 90.00°, β = 90.00°, γ = 90.00°
Space group Fm-3m (No. 225)
Inequivalent atoms, fractional coordinates:
Zr 0.000 0.000 0.000 x4
As 0.000 0.000 0.500 x4

Top 8 peaks for 15 to 90 degrees two-theta, in order of rising 2θ:
(1 1 1), 2θ = 28.20°, d = 3.165 Å, intensity 1.7
(2 0 0), 2θ = 32.68°, d = 2.741 Å, intensity 100.0
(2 2 0), 2θ = 46.88°, d = 1.938 Å, intensity 71.4
(3 1 1), 2θ = 55.61°, d = 1.653 Å, intensity 0.7
(2 2 2), 2θ = 58.32°, d = 1.582 Å, intensity 24.4
(4 0 0), 2θ = 68.47°, d = 1.370 Å, intensity 11.2
(4 2 0), 2θ = 77.95°, d = 1.226 Å, intensity 30.8
(4 2 2), 2θ = 87.11°, d = 1.119 Å, intensity 23.6


(12)
This entry pairs a crystal structure of BaIn2Pd with its calculated PXRD pattern. Radiation: Cu Kα, 1.54184 Å. Structure: the PBE geometry in the Materials Project.
Peak positions follow from Bragg's law for the DFT cell and can differ from measured ones.

Atomic structure:
a = 4.628 Å, b = 11.840 Å, c = 8.163 Å
α = 90.00°, β = 90.00°, γ = 90.00°
Space group Cmcm (No. 63)
Inequivalent atoms, fractional coordinates:
Ba 0.000 0.051 0.250 x4
In 0.000 0.335 0.057 x8
Pd 0.000 0.223 0.750 x4

Top 10 peaks for 15 to 90 degrees two-theta, in order of rising 2θ:
(1 3 0), 2θ = 29.75°, d = 3.003 Å, intensity 62.9
(1 1 2), 2θ = 30.15°, d = 2.964 Å, intensity 100.0
(1 3 1), 2θ = 31.75°, d = 2.818 Å, intensity 67.6
(0 4 1), 2θ = 32.17°, d = 2.783 Å, intensity 54.3
(0 2 3), 2θ = 36.34°, d = 2.472 Å, intensity 27.7
(2 0 0), 2θ = 38.92°, d = 2.314 Å, intensity 51.8
(1 1 3), 2θ = 39.15°, d = 2.301 Å, intensity 53.4
(1 3 3), 2θ = 44.96°, d = 2.016 Å, intensity 25.1
(0 6 2), 2θ = 51.38°, d = 1.778 Å, intensity 44.2
(1 5 3), 2θ = 55.14°, d = 1.666 Å, intensity 34.1